For Tc2TePt, a PBE-relaxed structure gives the calculated X-ray diffraction stick pattern in this record (Cu Ka).
Neutral-atom scattering factors, no anomalous dispersion.

Principal peaks in the range 2θ = 5–70°, in order of rising 2θ:
| Position (°2θ) | d (Å) | intensity | hkl |
| --- | --- | --- | --- |
| 19.47 | 4.558 | 50 | 1 0 0 |
| 27.68 | 3.223 | 63 | 1 1 0 |
| 28.49 | 3.133 | 29 | 0 0 1 |
| 34.75 | 2.582 | 25 | 1 0 1 |
| 39.54 | 2.279 | 522 | 2 0 0 |
| 40.14 | 2.247 | 1000 | 1 1 1 |
| 49.45 | 1.843 | 28 | 2 0 1 |
| 53.64 | 1.709 | 16 | 2 1 1 |
| 57.16 | 1.612 | 177 | 2 2 0 |
| 58.96 | 1.566 | 80 | 0 0 2 |

Atomic structure:
Cell lengths 4.558, 4.558, 3.133 Å; angles 90.00, 90.00, 90.00 degrees
Space group P4/mmm (No. 123)
Asymmetric unit:
Tc  0.000  0.500  0.000 [2 per cell]
Te  0.000  0.000  0.500 [1 per cell]
Pt  0.500  0.500  0.500 [1 per cell]

---

For KZr2S4, a PBE-relaxed structure gives the calculated X-ray diffraction stick pattern in this record (Cu Ka).
Neutral-atom scattering factors, no anomalous dispersion.

Principal peaks in the range 2θ = 5–70°, in order of rising 2θ:
| Position (°2θ) | d (Å) | intensity | hkl |
| --- | --- | --- | --- |
| 11.21 | 7.894 | 1000 | 2 0 0 |
| 27.95 | 3.193 | 144 | 1 1 -1 |
| 30.06 | 2.973 | 253 | 1 1 1 |
| 30.81 | 2.902 | 135 | 4 0 -2 |
| 35.95 | 2.498 | 434 | 3 1 1 |
| 36.43 | 2.467 | 125 | 5 1 -1 |
| 36.95 | 2.433 | 170 | 6 0 -2 |
| 44.29 | 2.045 | 92 | 4 0 2 |
| 44.92 | 2.018 | 106 | 7 1 -1 |
| 49.90 | 1.828 | 143 | 3 1 -3 |

Atomic structure:
Cell lengths 16.855, 3.702, 6.307 Å; angles 90.00, 110.49, 90.00 degrees
Space group C2/m (No. 12)
Asymmetric unit:
K  0.000  0.000  0.000 [2 per cell]
Zr  0.247  0.500  0.744 [4 per cell]
S  0.153  0.000  0.492 [4 per cell]
S  0.155  0.500  0.999 [4 per cell]

---

Question: What is the formula in the second record?
Answer: KZr2S4